1.
# Sn3I3O
Simulated PXRD pattern, CuKα. Input: DFT lattice parameters and positions (GGA-PBE).
Kinematic intensities with the Lorentz-polarization factor, no thermal factor.

Main lines, by angle (15 to 90 degrees two-theta):
d (Å), Position (°2θ), I/Imax
3.674, 24.23, 49
3.584, 24.84, 100
3.200, 27.88, 93
3.171, 28.14, 31
2.414, 37.25, 37
2.387, 37.68, 72

Crystal structure
```
14
Lattice="8.988 0.000 0.000 0.000 6.400 0.000 -2.486 0.000 9.229" Properties=species:S:1:pos:R:3 pbc="T T T"
Sn -0.208 1.600 3.306
Sn 2.111 4.800 0.148
Sn 1.518 4.800 6.836
Sn 4.984 1.600 2.392
Sn 4.391 1.600 9.080
Sn 6.709 4.800 5.922
I 0.050 4.800 3.627
I 1.563 1.600 0.597
I 1.887 1.600 6.473
I 4.615 4.800 2.756
I 4.939 4.800 8.631
I 6.452 1.600 5.602
O -0.613 4.800 7.213
O 7.115 1.600 2.016
```

=====

2.
# Ho2Mn17C2
Simulated PXRD pattern, CuKα. Input: DFT lattice parameters and positions (GGA-PBE).
Kinematic intensities with the Lorentz-polarization factor, no thermal factor.

Main lines, by angle (15 to 90 degrees two-theta):
d (Å), Position (°2θ), I/Imax
2.958, 30.22, 40
2.473, 36.33, 54
2.142, 42.19, 100
2.118, 42.68, 60
2.112, 42.81, 65
2.041, 44.38, 47

Crystal structure
```
21
Lattice="4.765 -4.279 0.000 4.765 4.279 0.000 -0.935 0.000 6.363" Properties=species:S:1:pos:R:3 pbc="T T T"
Ho 1.089 0.000 2.233
Ho 7.506 0.000 4.130
Mn 2.383 2.140 0.000
Mn 0.595 0.000 5.566
Mn 3.509 2.041 2.157
Mn 2.723 1.186 4.588
Mn 4.765 2.367 0.000
Mn 5.086 2.041 4.206
Mn 3.760 0.000 0.625
Mn 2.723 -1.186 4.588
Mn 2.383 -2.140 0.000
Mn 4.298 0.000 3.182
Mn 5.873 1.186 1.775
Mn 4.835 0.000 5.738
Mn 3.509 -2.041 2.157
Mn 4.765 -2.367 0.000
Mn 5.873 -1.186 1.775
Mn 5.086 -2.041 4.206
Mn 8.000 0.000 0.797
C 1.915 2.140 3.182
C 1.915 -2.140 3.182
```

=====

Please write out number 1 again, unchanged.
# Sn3I3O
Simulated PXRD pattern, CuKα. Input: DFT lattice parameters and positions (GGA-PBE).
Kinematic intensities with the Lorentz-polarization factor, no thermal factor.

Main lines, by angle (15 to 90 degrees two-theta):
d (Å), Position (°2θ), I/Imax
3.674, 24.23, 49
3.584, 24.84, 100
3.200, 27.88, 93
3.171, 28.14, 31
2.414, 37.25, 37
2.387, 37.68, 72

Crystal structure
```
14
Lattice="8.988 0.000 0.000 0.000 6.400 0.000 -2.486 0.000 9.229" Properties=species:S:1:pos:R:3 pbc="T T T"
Sn -0.208 1.600 3.306
Sn 2.111 4.800 0.148
Sn 1.518 4.800 6.836
Sn 4.984 1.600 2.392
Sn 4.391 1.600 9.080
Sn 6.709 4.800 5.922
I 0.050 4.800 3.627
I 1.563 1.600 0.597
I 1.887 1.600 6.473
I 4.615 4.800 2.756
I 4.939 4.800 8.631
I 6.452 1.600 5.602
O -0.613 4.800 7.213
O 7.115 1.600 2.016
```